Structure and computed powder diffractogram of Ce8Os3I4Br (a cell relaxed with PBE; Cu Kα (weighted mean of Kα1 and Kα2)).
No peak broadening, texture or thermal motion is included.

Largest 10 diffraction maxima, sorted by position, 10° ≤ 2θ ≤ 90°:
d/Å  I/Imax
7.849  19
3.096  100
2.471  12
2.289  29
2.102  37
1.845  8
1.739  18
1.548  8
1.340  14
1.247  8

Crystal structure
Unit cell a=8.4082 b=8.4082 c=9.2301 alpha=117.11 beta=117.11 gamma=59.99
Positions (direct):
Ce 0.2080 0.7431 0.6925
Ce 0.2285 0.2285 0.6841
Ce 0.2569 0.7920 0.3075
Ce 0.2578 0.2578 0.3083
Ce 0.7422 0.7422 0.6917
Ce 0.7431 0.2080 0.6925
Ce 0.7715 0.7715 0.3159
Ce 0.7920 0.2569 0.3075
Os 0.0000 0.0000 0.5000
Os 0.0000 0.5000 0.5000
Os 0.5000 0.0000 0.5000
I 0.0000 0.0000 0.0000
I 0.0000 0.5000 0.0000
I 0.5000 0.0000 0.0000
I 0.5000 0.5000 0.0000
Br 0.5000 0.5000 0.5000

---

Structure and computed powder diffractogram of SmTiO3 (a cell relaxed with PBE; Cu Kα (weighted mean of Kα1 and Kα2)).
No peak broadening, texture or thermal motion is included.

Largest 10 diffraction maxima, sorted by position, 10° ≤ 2θ ≤ 90°:
d/Å  I/Imax
3.950  26
3.891  17
3.522  23
2.874  18
2.772  100
2.718  25
2.696  16
1.975  19
1.760  22
1.579  22

Crystal structure
Unit cell a=5.7479 b=7.7824 c=5.4360 alpha=90.00 beta=90.00 gamma=90.00
Positions (direct):
Sm 0.0662 0.2500 0.0185
Sm 0.4338 0.7500 0.5185
Sm 0.5662 0.2500 0.4815
Sm 0.9338 0.7500 0.9815
Ti 0.0000 0.0000 0.5000
Ti 0.0000 0.5000 0.5000
Ti 0.5000 0.0000 0.0000
Ti 0.5000 0.5000 0.0000
O 0.0343 0.7500 0.3952
O 0.2019 0.5520 0.8039
O 0.2019 0.9480 0.8039
O 0.2981 0.0520 0.3039
O 0.2981 0.4480 0.3039
O 0.4657 0.2500 0.8952
O 0.5343 0.7500 0.1048
O 0.7019 0.5520 0.6961
O 0.7019 0.9480 0.6961
O 0.7981 0.0520 0.1961
O 0.7981 0.4480 0.1961
O 0.9657 0.2500 0.6048

---

Structure and computed powder diffractogram of Fe4C5 (a cell relaxed with PBE; Cu Kα (weighted mean of Kα1 and Kα2)).
No peak broadening, texture or thermal motion is included.

Largest 10 diffraction maxima, sorted by position, 10° ≤ 2θ ≤ 90°:
d/Å  I/Imax
5.573  25
2.786  100
2.445  69
2.078  37
1.970  70
1.838  21
1.666  58
1.534  26
1.393  17
1.344  22

Crystal structure
Unit cell a=5.7194 b=5.7194 c=5.7194 alpha=92.90 beta=92.90 gamma=154.01
Positions (direct):
Fe 0.0000 0.2347 0.2347
Fe 0.0000 0.7653 0.7653
Fe 0.2347 0.0000 0.2347
Fe 0.7653 0.0000 0.7653
C 0.0000 0.0000 0.0000
C 0.2838 0.2838 0.5677
C 0.2838 0.7162 0.0000
C 0.7162 0.2838 0.0000
C 0.7162 0.7162 0.4323